(1)
Diffraction record for Pr6Fe2Ag. The X-ray diffraction stick pattern is computed, not measured: it uses a PBE-relaxed structure and CuKα.
Peak positions follow from Bragg's law for the DFT cell and can differ from measured ones.

Main lines, most intense first (2θ = 5–70°):
(hkl)  2θ/deg  I (rel.)
2 2 2  30.8  100
2 1 3  33.1  64
2 3 1  33.4  22
3 1 0  28.6  21
4 0 0  36.6  20
5 3 2  57.1  20
0 1 3  27.6  17
3 2 1  33.7  16
0 3 1  27.8  16
2 5 3  56.0  13
3 5 0  53.2  13
0 3 5  52.2  12

Crystal structure
```
data_Pr6Fe2Ag
_space_group_name_H-M_alt 'I m m m'
_space_group_IT_number 71
_space_group_name_Hall '-I 2 2'
_cell_length_a 9.833
_cell_length_b 10.120
_cell_length_c 10.256
_cell_angle_alpha 90.00
_cell_angle_beta 90.00
_cell_angle_gamma 90.00
loop_
_atom_site_label
_atom_site_type_symbol
_atom_site_fract_x
_atom_site_fract_y
_atom_site_fract_z
Pr1 Pr 0.000 0.212 0.216
Pr2 Pr 0.207 0.316 0.500
Pr3 Pr 0.208 0.500 0.185
Fe1 Fe 0.000 0.390 0.000
Fe2 Fe 0.000 0.500 0.392
Ag1 Ag 0.000 0.000 0.000
Ag2 Ag 0.000 0.000 0.500
```



(2)
Diffraction record for Cs3HoNb2O8. The X-ray diffraction stick pattern is computed, not measured: it uses a PBE-relaxed structure and CuKα.
Peak positions follow from Bragg's law for the DFT cell and can differ from measured ones.

Main lines, most intense first (2θ = 5–70°):
(hkl)  2θ/deg  I (rel.)
1 1 0  28.0  100
0 1 2  26.5  99
2 0 2  39.0  41
1 2 2  48.7  37
1 1 4  51.8  29
3 0 0  49.6  20
2 2 0  58.0  17
3 1 2  64.8  16
3 0 4  67.4  13
0 0 1  10.4  11
0 0 4  42.6  6
0 1 6  68.4  5

Crystal structure
```
data_Cs3HoNb2O8
_space_group_name_H-M_alt 'P -3 m 1'
_space_group_IT_number 164
_space_group_name_Hall '-P 3 2"'
_cell_length_a 6.3636
_cell_length_b 6.3636
_cell_length_c 8.4952
_cell_angle_alpha 90.00
_cell_angle_beta 90.00
_cell_angle_gamma 120.00
loop_
_atom_site_label
_atom_site_type_symbol
_atom_site_fract_x
_atom_site_fract_y
_atom_site_fract_z
Cs1 Cs 0.0000 0.0000 0.0000
Cs2 Cs 0.3333 0.6667 0.7216
Ho1 Ho 0.0000 0.0000 0.5000
Nb1 Nb 0.3333 0.6667 0.2752
O1 O 0.1695 0.3391 0.3456
O2 O 0.3333 0.6667 0.0603
```



(3)
Diffraction record for Li15Pd4. The X-ray diffraction stick pattern is computed, not measured: it uses a PBE-relaxed structure and CuKα.
Peak positions follow from Bragg's law for the DFT cell and can differ from measured ones.

Main lines, most intense first (2θ = 5–70°):
(hkl)  2θ/deg  I (rel.)
2 2 0  23.7  100
3 1 0  26.6  57
5 1 0  43.5  54
2 1 1  20.5  40
3 3 2  39.8  36
5 2 1  46.9  31
3 2 1  31.5  23
4 2 2  41.7  18
7 2 1  64.5  17
5 4 1  56.2  15
7 1 0  61.8  13
6 5 1  69.8  13

Crystal structure
```
data_Li15Pd4
_space_group_name_H-M_alt 'I -4 3 d'
_space_group_IT_number 220
_space_group_name_Hall 'I -4bd 2c 3'
_cell_length_a 10.615
_cell_length_b 10.615
_cell_length_c 10.615
_cell_angle_alpha 90.00
_cell_angle_beta 90.00
_cell_angle_gamma 90.00
loop_
_atom_site_label
_atom_site_type_symbol
_atom_site_fract_x
_atom_site_fract_y
_atom_site_fract_z
Li1 Li 0.000 0.250 0.875
Li2 Li 0.039 0.119 0.656
Pd1 Pd 0.044 0.044 0.044
```



(4)
Diffraction record for DyTa2Se6. The X-ray diffraction stick pattern is computed, not measured: it uses a PBE-relaxed structure and CuKα.
Peak positions follow from Bragg's law for the DFT cell and can differ from measured ones.

Main lines, most intense first (2θ = 5–70°):
(hkl)  2θ/deg  I (rel.)
5 1 -3  42.6  100
1 1 0  19.7  64
0 2 0  36.7  61
2 0 1  23.2  54
2 0 -2  20.3  46
1 1 -1  20.8  44
4 0 -3  33.7  41
0 0 1  11.1  31
3 1 1  35.8  30
2 2 1  43.8  30
3 1 -4  44.1  29
2 0 2  33.0  29

Crystal structure
```
data_DyTa2Se6
_space_group_name_H-M_alt 'C 1 2/m 1'
_space_group_IT_number 12
_cell_length_a 12.808
_cell_length_b 4.900
_cell_length_c 9.049
_cell_angle_alpha 90.00
_cell_angle_beta 118.02
_cell_angle_gamma 90.00
loop_
_space_group_symop_operation_xyz
'x,y,z'
'-x,-y,-z'
'-x,y,-z'
'x,-y,z'
'x+1/2,y+1/2,z'
'-x+1/2,-y+1/2,-z'
'-x+1/2,y+1/2,-z'
'x+1/2,-y+1/2,z'
loop_
_atom_site_label
_atom_site_type_symbol
_atom_site_fract_x
_atom_site_fract_y
_atom_site_fract_z
Dy1 Dy 0.000 0.000 0.000
Ta1 Ta 0.179 0.000 0.619
Se1 Se 0.016 0.000 0.695
Se2 Se 0.150 0.500 0.095
Se3 Se 0.203 0.500 0.562
```